Theoretical powder diffractogram
Compound: Li3Zn2SnPd3
Radiation: Cu Ka
Structure: a structure optimized by DFT (PBE)

Cell and atoms:
```
data_Li3Zn2SnPd3
_cell_length_a 7.3473
_cell_length_b 7.3473
_cell_length_c 2.9171
_cell_angle_alpha 90.00
_cell_angle_beta 90.00
_cell_angle_gamma 120.00
_symmetry_space_group_name_H-M 'P 1'
_symmetry_Int_Tables_number 1
_symmetry_space_group_name_Hall 'P 1'
loop_
_atom_site_label
_atom_site_fract_x
_atom_site_fract_y
_atom_site_fract_z
Li1 0.0000 0.6868 0.0000
Li2 0.3132 0.3132 0.0000
Li3 0.6868 0.0000 0.0000
Zn1 0.3333 0.6667 0.0000
Zn2 0.6667 0.3333 0.0000
Sn1 0.0000 0.0000 0.5000
Pd1 0.0000 0.3723 0.5000
Pd2 0.3723 0.0000 0.5000
Pd3 0.6277 0.6277 0.5000
```

The 10 most intense peaks (10° ≤ 2θ ≤ 80°), in order of falling intensity:
2θ (°)	I/Imax	index
24.23	100	1 1 0
42.63	90	3 0 0
39.44	78	1 1 1
42.02	55	2 0 1
49.09	39	2 1 1
79.80	32	3 0 2
72.39	30	3 2 1
33.80	26	1 0 1
28.05	21	2 0 0
30.65	21	0 0 1